Record 1
Starting from a cell relaxed with PBE+U, the X-ray powder pattern of ZnFeP2O8 was calculated for CuKα.
Kinematic intensities with the Lorentz-polarization factor, no thermal factor.

Structure:
```
ZnFeP2O8
1.0
4.921 0.000 0.000
0.000 5.961 0.000
-0.086 0.000 10.009
Zn Fe P O
2 2 4 16
Direct
0.053 0.250 0.223
0.947 0.750 0.777
0.466 0.250 0.724
0.534 0.750 0.276
0.087 0.750 0.098
0.421 0.750 0.597
0.579 0.250 0.403
0.913 0.250 0.902
0.146 0.750 0.949
0.218 0.250 0.876
0.241 0.552 0.172
0.241 0.948 0.172
0.268 0.250 0.391
0.286 0.545 0.669
0.286 0.955 0.669
0.343 0.750 0.447
0.657 0.250 0.553
0.714 0.045 0.331
0.714 0.455 0.331
0.732 0.750 0.609
0.759 0.052 0.828
0.759 0.448 0.828
0.782 0.750 0.124
0.854 0.250 0.051
```

Most intense lines, 2θ from 5° to 70°, sorted by position:
- 2θ 17.7, 5.004 Å, I 100
- 2θ 20.0, 4.431 Å, I 74
- 2θ 20.2, 4.401 Å, I 45
- 2θ 25.0, 3.556 Å, I 64
- 2θ 25.2, 3.541 Å, I 61
- 2θ 30.0, 2.980 Å, I 98
- 2θ 35.7, 2.514 Å, I 59
- 2θ 36.0, 2.497 Å, I 69
- 2θ 36.4, 2.471 Å, I 37
- 2θ 47.9, 1.897 Å, I 27

=====

Record 2
Starting from a cell relaxed with PBE+U, the X-ray powder pattern of FePbO3 was calculated for CuKα.
Kinematic intensities with the Lorentz-polarization factor, no thermal factor.

Structure:
```
FePbO3
1.0
3.948 0.000 0.000
0.000 3.948 0.000
0.000 0.000 3.948
Fe Pb O
1 1 3
Direct
0.000 0.000 0.000
0.500 0.500 0.500
0.000 0.000 0.500
0.000 0.500 0.000
0.500 0.000 0.000
```

Most intense lines, 2θ from 5° to 70°, sorted by position:
- 2θ 22.5, 3.948 Å, I 30
- 2θ 32.1, 2.791 Å, I 100
- 2θ 39.5, 2.279 Å, I 24
- 2θ 46.0, 1.974 Å, I 29
- 2θ 51.8, 1.765 Å, I 16
- 2θ 57.2, 1.612 Å, I 40
- 2θ 67.1, 1.396 Å, I 18

=====

Record 3
Starting from a cell relaxed with PBE+U, the X-ray powder pattern of Fe3PbS2O14 was calculated for CuKα.
Kinematic intensities with the Lorentz-polarization factor, no thermal factor.

Structure:
```
Fe3PbS2O14
1.0
3.479 2.009 6.003
-3.479 2.009 6.003
0.000 -4.017 6.003
Fe Pb S O
3 1 2 14
Direct
0.000 0.500 0.500
0.500 0.000 0.500
0.500 0.500 0.000
0.500 0.500 0.500
0.189 0.189 0.189
0.811 0.811 0.811
0.014 0.663 0.663
0.110 0.110 0.110
0.242 0.242 0.605
0.242 0.605 0.242
0.337 0.337 0.986
0.337 0.986 0.337
0.395 0.758 0.758
0.605 0.242 0.242
0.663 0.014 0.663
0.663 0.663 0.014
0.758 0.395 0.758
0.758 0.758 0.395
0.890 0.890 0.890
0.986 0.337 0.337
```

Most intense lines, 2θ from 5° to 70°, sorted by position:
- 2θ 15.5, 5.715 Å, I 86
- 2θ 25.6, 3.479 Å, I 26
- 2θ 29.7, 3.009 Å, I 100
- 2θ 31.3, 2.857 Å, I 24
- 2θ 35.9, 2.504 Å, I 19
- 2θ 38.0, 2.366 Å, I 26
- 2θ 39.9, 2.260 Å, I 13
- 2θ 47.7, 1.905 Å, I 24
- 2θ 52.6, 1.740 Å, I 17
- 2θ 61.6, 1.505 Å, I 14